(1)
Diffraction record for NaIr2PbO8. The PXRD pattern is simulated, not measured: it uses a PBE-relaxed structure and Cu Kα.
Kinematic intensities with the Lorentz-polarization factor, no thermal factor.

Cell and atoms:
Lattice parameters (Å, degrees): 5.8082 5.8082 6.7594 90.00 90.00 120.00
Fractional positions:
Na1 0.0000 0.0000 0.0000
Ir1 0.3333 0.6667 0.4572
Ir2 0.6667 0.3333 0.5428
Pb1 0.0000 0.0000 0.5000
O1 0.0632 0.3915 0.6298
O2 0.3283 0.9368 0.6298
O3 0.3333 0.6667 0.1889
O4 0.3915 0.3283 0.3702
O5 0.6085 0.6717 0.6298
O6 0.6667 0.3333 0.8111
O7 0.6717 0.0632 0.3702
O8 0.9368 0.6085 0.3702

Peak list (10 most intense, 15 to 90 degrees two-theta, in order of rising 2θ)
26.4 deg, rel. 33; 30.8 deg, rel. 88; 33.6 deg, rel. 100; 41.0 deg, rel. 66; 51.3 deg, rel. 30; 54.7 deg, rel. 29; 56.6 deg, rel. 29; 61.8 deg, rel. 20; 64.1 deg, rel. 19; 65.8 deg, rel. 16



(2)
Diffraction record for CrRe. The PXRD pattern is simulated, not measured: it uses a PBE-relaxed structure and Cu Kα.
Kinematic intensities with the Lorentz-polarization factor, no thermal factor.

Cell and atoms:
Lattice parameters (Å, degrees): 2.9595 4.2575 8.4730 90.00 90.00 90.00
Fractional positions:
Cr1 0.0000 0.2500 0.1386
Cr2 0.0000 0.7500 0.8614
Cr3 0.5000 0.2500 0.3614
Cr4 0.5000 0.7500 0.6386
Re1 0.0000 0.2500 0.6169
Re2 0.0000 0.7500 0.3831
Re3 0.5000 0.2500 0.8831
Re4 0.5000 0.7500 0.1169

Peak list (10 most intense, 15 to 90 degrees two-theta, in order of rising 2θ)
23.4 deg, rel. 28; 32.0 deg, rel. 21; 38.2 deg, rel. 18; 42.5 deg, rel. 26; 42.7 deg, rel. 24; 42.9 deg, rel. 100; 54.2 deg, rel. 10; 61.8 deg, rel. 16; 78.0 deg, rel. 17; 78.3 deg, rel. 15



(3)
Diffraction record for Cs3NbCl6. The PXRD pattern is simulated, not measured: it uses a PBE-relaxed structure and Cu Kα.
Kinematic intensities with the Lorentz-polarization factor, no thermal factor.

Cell and atoms:
Lattice parameters (Å, degrees): 7.8687 7.8687 8.3342 117.83 117.83 60.18
Fractional positions:
Cs1 0.0000 0.0000 0.0000
Cs2 0.2370 0.2370 0.7265
Cs3 0.7630 0.7630 0.2735
Nb1 0.5000 0.5000 0.5000
Cl1 0.2195 0.6683 0.6510
Cl2 0.2959 0.2959 0.2064
Cl3 0.3317 0.7805 0.3490
Cl4 0.6683 0.2195 0.6510
Cl5 0.7041 0.7041 0.7936
Cl6 0.7805 0.3317 0.3490

Peak list (10 most intense, 15 to 90 degrees two-theta, in order of rising 2θ)
21.3 deg, rel. 73; 21.4 deg, rel. 30; 22.6 deg, rel. 100; 31.3 deg, rel. 83; 36.5 deg, rel. 17; 36.6 deg, rel. 17; 38.8 deg, rel. 30; 39.0 deg, rel. 23; 39.6 deg, rel. 19; 49.4 deg, rel. 18



(4)
Diffraction record for KBa2Bi. The PXRD pattern is simulated, not measured: it uses a PBE-relaxed structure and Cu Kα.
Kinematic intensities with the Lorentz-polarization factor, no thermal factor.

Cell and atoms:
Lattice parameters (Å, degrees): 10.5834 10.5834 8.2527 90.00 90.00 90.00
Fractional positions:
K1 0.0000 0.0000 0.0000
K2 0.0000 0.5000 0.2500
K3 0.5000 0.0000 0.7500
K4 0.5000 0.5000 0.5000
Ba1 0.1833 0.2500 0.6250
Ba2 0.2500 0.6833 0.8750
Ba3 0.2500 0.8167 0.3750
Ba4 0.3167 0.2500 0.1250
Ba5 0.6833 0.7500 0.1250
Ba6 0.7500 0.1833 0.3750
Ba7 0.7500 0.3167 0.8750
Ba8 0.8167 0.7500 0.6250
Bi1 0.0000 0.0000 0.5000
Bi2 0.0000 0.5000 0.7500
Bi3 0.5000 0.0000 0.2500
Bi4 0.5000 0.5000 0.0000

Peak list (10 most intense, 15 to 90 degrees two-theta, in order of rising 2θ)
21.6 deg, rel. 30; 23.8 deg, rel. 82; 24.6 deg, rel. 100; 32.4 deg, rel. 57; 33.9 deg, rel. 25; 34.5 deg, rel. 62; 36.7 deg, rel. 28; 37.8 deg, rel. 21; 44.2 deg, rel. 19; 47.3 deg, rel. 32